Theoretical powder X-ray diffraction pattern
Compound: Na5LaW4O16
Radiation: Cu Ka
Structure: a DFT-relaxed cell (PBE+U, Alexandria)
Intensities are scaled so that the largest is 100.

Principal peaks in the range 2θ = 15–90°, most intense first:
Position (°2θ)	Rel. int.
28.35	100
18.40	66
46.42	25
57.20	24
33.82	21
28.58	19
23.79	17
30.85	12
48.57	12
38.77	11

Structural model:
```
data_Na5LaW4O16
_space_group_name_H-M_alt 'P 1'
_space_group_IT_number 1
_space_group_name_Hall 'P 1'
_cell_length_a 10.1914
_cell_length_b 10.1914
_cell_length_c 10.1914
_cell_angle_alpha 108.88
_cell_angle_beta 108.88
_cell_angle_gamma 110.67
loop_
_atom_site_label
_atom_site_fract_x
_atom_site_fract_y
_atom_site_fract_z
_atom_site_occupancy
Na1 0.1144 0.0376 0.8341 1
Na2 0.2197 0.3856 0.4232 1
Na3 0.2965 0.7197 0.3341 1
Na4 0.3750 0.1250 0.2500 1
Na5 0.4624 0.7965 0.0768 1
Na6 0.5376 0.2035 0.9232 1
Na7 0.6250 0.8750 0.7500 1
Na8 0.7035 0.2803 0.6659 1
Na9 0.7803 0.6144 0.5768 1
Na10 0.8856 0.9624 0.1659 1
La1 0.1250 0.3750 0.7500 1
La2 0.8750 0.6250 0.2500 1
W1 0.0452 0.7102 0.9706 1
W2 0.2102 0.7396 0.6649 1
W3 0.2396 0.0747 0.5294 1
W4 0.4253 0.4548 0.1649 1
W5 0.5747 0.5452 0.8351 1
W6 0.7604 0.9253 0.4706 1
W7 0.7898 0.2604 0.3351 1
W8 0.9548 0.2898 0.0294 1
O1 0.0043 0.3537 0.4824 1
O2 0.0187 0.8026 0.8484 1
O3 0.0219 0.5043 0.1506 1
O4 0.0706 0.2656 0.9277 1
O5 0.1463 0.1287 0.6506 1
O6 0.1621 0.8571 0.4277 1
O7 0.2043 0.1289 0.3736 1
O8 0.2344 0.6621 0.8050 1
O9 0.2553 0.8307 0.1264 1
O10 0.3026 0.9542 0.7839 1
O11 0.3297 0.4813 0.2839 1
O12 0.3307 0.7043 0.5754 1
O13 0.3571 0.4294 0.6950 1
O14 0.3711 0.2447 0.0754 1
O15 0.3713 0.5219 0.0176 1
O16 0.4542 0.1703 0.6516 1
O17 0.5458 0.8297 0.3484 1
O18 0.6287 0.4781 0.9824 1
O19 0.6289 0.7553 0.9246 1
O20 0.6429 0.5706 0.3050 1
O21 0.6693 0.2957 0.4246 1
O22 0.6703 0.5187 0.7161 1
O23 0.6974 0.0458 0.2161 1
O24 0.7447 0.1693 0.8736 1
O25 0.7656 0.3379 0.1950 1
O26 0.7957 0.8711 0.6264 1
O27 0.8379 0.1429 0.5723 1
O28 0.8537 0.8713 0.3494 1
O29 0.9294 0.7344 0.0723 1
O30 0.9781 0.4957 0.8494 1
O31 0.9813 0.1974 0.1516 1
O32 0.9957 0.6463 0.5176 1
```